The following is a theoretical X-ray powder pattern of Pa2Si3B. It was derived from DFT lattice parameters and positions (PBE), using λ = 1.5418 Å (Cu Kα).

The 6 most intense peaks (2θ from 10° to 90°), most intense first:
2θ = 35.14°, 2.554 Å, intensity 100; 2θ = 27.26°, 3.271 Å, intensity 61; 2θ = 34.83°, 2.576 Å, intensity 50; 2θ = 21.75°, 4.087 Å, intensity 40; 2θ = 26.87°, 3.318 Å, intensity 33; 2θ = 47.70°, 1.906 Å, intensity 24

```
Pa2Si3B
1.0
3.760 0.000 0.000
0.000 4.087 0.000
0.000 0.000 6.636
Pa Si B
2 3 1
Cartesian
0.000 0.000 0.000
1.880 0.000 3.236
0.000 2.043 2.029
0.000 2.043 4.360
1.880 2.043 5.713
1.880 2.043 1.137
```

=====

The following is a theoretical X-ray powder pattern of Ba2DySb2. It was derived from DFT lattice parameters and positions (PBE), using λ = 1.5418 Å (Cu Kα).

The 6 most intense peaks (2θ from 10° to 90°), most intense first:
2θ = 33.12°, 2.705 Å, intensity 100; 2θ = 35.83°, 2.506 Å, intensity 94; 2θ = 21.76°, 4.084 Å, intensity 73; 2θ = 33.41°, 2.682 Å, intensity 68; 2θ = 27.97°, 3.190 Å, intensity 68; 2θ = 25.66°, 3.471 Å, intensity 60

```
Ba2DySb2
1.0
-4.141 7.042 3.569
4.141 -7.042 3.569
4.141 7.042 -3.569
Ba Dy Sb
4 2 4
Cartesian
1.300 2.061 0.000
1.300 -2.061 3.569
2.841 9.103 0.000
2.841 4.980 3.569
4.141 0.000 1.784
0.000 7.042 1.784
6.082 1.541 0.000
1.941 5.501 0.000
2.199 1.541 3.569
-1.941 5.501 3.569
```

=====

The following is a theoretical X-ray powder pattern of AcTm2MgIn4. It was derived from DFT lattice parameters and positions (PBE), using λ = 1.5418 Å (Cu Kα).

The 6 most intense peaks (2θ from 10° to 90°), most intense first:
2θ = 34.86°, 2.574 Å, intensity 100; 2θ = 31.46°, 2.843 Å, intensity 88; 2θ = 25.02°, 3.558 Å, intensity 39; 2θ = 47.66°, 1.908 Å, intensity 28; 2θ = 60.39°, 1.533 Å, intensity 27; 2θ = 44.76°, 2.025 Å, intensity 26

```
AcTm2MgIn4
1.0
2.574 1.486 9.845
-2.574 1.486 9.845
0.000 -2.972 9.845
Ac Tm Mg In
1 2 1 4
Cartesian
0.000 0.000 0.000
0.000 0.000 6.941
0.000 0.000 22.595
0.000 0.000 14.768
0.000 0.000 3.783
0.000 0.000 11.631
0.000 0.000 17.905
0.000 0.000 25.753
```